NpU4N10: computed powder diffractogram (Cu Kα X-rays), based on DFT lattice parameters and positions (PBE).
Lines closer than 0.1° are merged.

Peak list (8 most intense, 2θ from 15° to 90°, sorted by position)
(hkl)  2theta  Rel. int.
1 2 1  29.37  100.0
3 1 0  34.04  39.8
3 1 2  48.90  46.1
5 0 1  58.07  46.3
2 4 2  60.92  11.2
6 2 0  71.66  7.5
5 0 3  79.27  19.9
6 2 2  81.76  15.9

Crystal structure
a b c (Å): 8.3291 8.3291 5.2681
angles (deg): 90.00 90.00 90.00
Space group I4/m (No. 87)
Asymmetric unit:
Np: 0.0000 0.0000 0.0000 x2
U: 0.1001 0.7002 0.5000 x8
N: 0.0000 0.5000 0.2500 x4
N: 0.1000 0.1988 0.2486 x16